Simulated powder diffraction line list
Compound: V2Ga2O7
Radiation: a wavelength of 1.5418 Å
Structure: a cell relaxed with PBE+U

The 12 most intense peaks (2θ from 10° to 80°), in order of falling intensity:
2θ = 27.6°, d 3.227, I = 1000, (0 2 2); 2θ = 29.2°, d 3.055, I = 326, (2 0 -2); 2θ = 53.8°, d 1.703, I = 215, (1 3 4); 2θ = 17.5°, d 5.065, I = 197, (1 1 0); 2θ = 34.8°, d 2.575, I = 118, (1 3 0); 2θ = 17.8°, d 4.984, I = 98, (0 0 2); 2θ = 43.4°, d 2.087, I = 96, (3 1 -2); 2θ = 28.9°, d 3.090, I = 96, (1 1 -3); 2θ = 41.1°, d 2.194, I = 81, (1 3 2); 2θ = 37.6°, d 2.393, I = 78, (1 3 -2); 2θ = 45.4°, d 1.997, I = 77, (2 2 -4); 2θ = 35.4°, d 2.532, I = 77, (2 2 0)

```
data_V2Ga2O7
_cell_length_a 6.551
_cell_length_b 8.456
_cell_length_c 10.325
_cell_angle_alpha 90.00
_cell_angle_beta 105.12
_cell_angle_gamma 90.00
_symmetry_space_group_name_H-M 'C 1 2/c 1'
_symmetry_Int_Tables_number 15
loop_
_symmetry_equiv_pos_as_xyz
'x,y,z'
'-x,-y,-z'
'-x,y,-z+1/2'
'x,-y,z+1/2'
'x+1/2,y+1/2,z'
'-x+1/2,-y+1/2,-z'
'-x+1/2,y+1/2,-z+1/2'
'x+1/2,-y+1/2,z+1/2'
loop_
_atom_site_label
_atom_site_type_symbol
_atom_site_fract_x
_atom_site_fract_y
_atom_site_fract_z
V1 V 0.240 0.027 0.196
Ga1 Ga 0.043 0.323 0.491
O1 O 0.000 0.001 0.750
O2 O 0.049 0.471 0.632
O3 O 0.183 0.206 0.108
O4 O 0.224 0.156 0.591
```